[1]
The following is a theoretical powder diffraction line list of SiGeAuS. It was derived from a structure optimized by DFT (PBE), using Cu Kα, 1.54184 Å.

Structural model:
Cell: 3.790 3.726 5.376 Å, 90.00 91.21 90.00°
Positions (direct):
1 Si 0.000 0.000 0.000
2 Ge 0.470 0.500 0.453
3 Au 0.501 0.500 0.953
4 S 0.018 0.000 0.419

Principal peaks in the range 5° ≤ 2θ ≤ 70°, most intense first:
33.74°, intensity 100
33.34°, intensity 50
23.48°, intensity 48
23.88°, intensity 46
47.79°, intensity 35
48.54°, intensity 34
16.49°, intensity 33
29.15°, intensity 32
41.43°, intensity 25
48.02°, intensity 18

---

[2]
The following is a theoretical powder diffraction line list of RbTlICl. It was derived from a structure optimized by DFT (PBE), using Cu Kα, 1.54184 Å.

Structural model:
Cell: 8.875 8.875 8.875 Å, 31.33 31.33 31.33°
Positions (direct):
1 Rb 0.000 0.000 0.000
2 Tl 0.184 0.184 0.184
3 I 0.433 0.433 0.433
4 Cl 0.597 0.597 0.597

Principal peaks in the range 5° ≤ 2θ ≤ 70°, most intense first:
27.80°, intensity 100
25.67°, intensity 82
37.53°, intensity 67
21.70°, intensity 62
32.86°, intensity 45
10.49°, intensity 37
58.29°, intensity 29
47.34°, intensity 23
61.92°, intensity 20
35.69°, intensity 20

---

[3]
The following is a theoretical powder diffraction line list of Ba2Nb6Te2O21. It was derived from a structure optimized by DFT (PBE), using Cu Kα, 1.54184 Å.

Structural model:
Cell: 8.962 8.962 9.828 Å, 96.48 96.48 37.64°
Positions (direct):
1 Ba 0.140 0.140 0.029
2 Ba 0.860 0.860 0.971
3 Nb 0.098 0.098 0.414
4 Nb 0.323 0.323 0.332
5 Nb 0.481 0.481 0.838
6 Nb 0.519 0.519 0.162
7 Nb 0.677 0.677 0.668
8 Nb 0.902 0.902 0.586
9 Te 0.274 0.274 0.749
10 Te 0.726 0.726 0.251
11 O 0.000 0.000 0.500
12 O 0.022 0.542 0.169
13 O 0.104 0.606 0.447
14 O 0.176 0.694 0.721
15 O 0.209 0.209 0.349
16 O 0.278 0.722 0.000
17 O 0.306 0.824 0.279
18 O 0.358 0.358 0.896
19 O 0.394 0.896 0.553
20 O 0.418 0.418 0.221
21 O 0.458 0.978 0.831
22 O 0.542 0.022 0.169
23 O 0.582 0.582 0.779
24 O 0.606 0.104 0.447
25 O 0.642 0.642 0.104
26 O 0.694 0.176 0.721
27 O 0.722 0.278 0.000
28 O 0.791 0.791 0.651
29 O 0.824 0.306 0.279
30 O 0.896 0.394 0.553
31 O 0.978 0.458 0.831

Principal peaks in the range 5° ≤ 2θ ≤ 70°, most intense first:
24.92°, intensity 100
24.62°, intensity 87
30.70°, intensity 69
26.26°, intensity 60
30.93°, intensity 59
31.45°, intensity 57
27.48°, intensity 40
44.08°, intensity 37
41.01°, intensity 30
52.58°, intensity 30

---

[4]
The following is a theoretical powder diffraction line list of Hf4SbS. It was derived from a structure optimized by DFT (PBE), using Cu Kα, 1.54184 Å.

Structural model:
Cell: 7.609 7.609 6.539 Å, 104.76 104.76 44.42°
Positions (direct):
1 Hf 0.002 0.821 0.546
2 Hf 0.179 0.998 0.954
3 Hf 0.209 0.422 0.867
4 Hf 0.422 0.209 0.367
5 Hf 0.578 0.791 0.633
6 Hf 0.791 0.578 0.133
7 Hf 0.821 0.002 0.046
8 Hf 0.998 0.179 0.454
9 Sb 0.379 0.621 0.250
10 Sb 0.621 0.379 0.750
11 S 0.000 0.500 0.500
12 S 0.500 0.000 0.000

Principal peaks in the range 5° ≤ 2θ ≤ 70°, most intense first:
35.34°, intensity 100
34.72°, intensity 73
33.12°, intensity 58
36.67°, intensity 56
31.50°, intensity 43
55.58°, intensity 27
44.77°, intensity 23
60.61°, intensity 19
58.89°, intensity 16
47.91°, intensity 16

---

[5]
The following is a theoretical powder diffraction line list of AcIn2Rh2. It was derived from a structure optimized by DFT (PBE), using Cu Kα, 1.54184 Å.

Structural model:
Cell: 4.487 4.487 6.766 Å, 107.15 107.15 66.31°
Positions (direct):
1 Ac 0.000 0.000 0.000
2 In 0.225 0.225 0.623
3 In 0.775 0.775 0.377
4 Rh 0.389 0.389 0.292
5 Rh 0.611 0.611 0.708

Principal peaks in the range 5° ≤ 2θ ≤ 70°, most intense first:
32.26°, intensity 100
40.44°, intensity 69
33.22°, intensity 65
36.62°, intensity 57
50.27°, intensity 40
28.58°, intensity 35
23.68°, intensity 34
42.82°, intensity 31
30.63°, intensity 27
68.54°, intensity 21

---

[6]
The following is a theoretical powder diffraction line list of Tb4Tl3Ag. It was derived from a structure optimized by DFT (PBE), using Cu Kα, 1.54184 Å.

Structural model:
Cell: 3.839 4.879 11.841 Å, 90.00 90.00 90.00°
Positions (direct):
1 Tb 0.000 0.000 0.000
2 Tb 0.000 0.500 0.282
3 Tb 0.500 0.000 0.477
4 Tb 0.500 0.500 0.788
5 Tl 0.000 0.000 0.726
6 Tl 0.000 0.500 0.549
7 Tl 0.500 0.500 0.055
8 Ag 0.500 0.000 0.218

Principal peaks in the range 5° ≤ 2θ ≤ 70°, most intense first:
30.58°, intensity 100
37.52°, intensity 65
35.47°, intensity 39
36.84°, intensity 36
30.19°, intensity 28
47.36°, intensity 18
32.54°, intensity 18
60.54°, intensity 17
61.47°, intensity 16
48.35°, intensity 15